Starting from a crystal structure in Alexandria, relaxed with GGA-PBE, the X-ray powder pattern of GaSbF2 was computed for copper Kα.

Principal peaks in the range 10 to 90 degrees two-theta, sorted by position:
- 10.70 deg, d = 8.269 Å, intensity 32.0
- 21.49 deg, d = 4.134 Å, intensity 57.3
- 34.24 deg, d = 2.619 Å, intensity 100.0
- 36.53 deg, d = 2.460 Å, intensity 53.9
- 44.70 deg, d = 2.027 Å, intensity 36.2
- 50.11 deg, d = 1.820 Å, intensity 36.7

Crystal structure
```
data_GaSbF2
_chemical_formula_sum 'Ga3 Sb3 F6'
_symmetry_space_group_name_H-M 'R -3 m'
_symmetry_Int_Tables_number 166
_symmetry_space_group_name_Hall '-R 3 2"'
_cell_length_a 3.0940
_cell_length_b 3.0940
_cell_length_c 24.8059
_cell_angle_alpha 90.00
_cell_angle_beta 90.00
_cell_angle_gamma 120.00
loop_
_atom_site_label
_atom_site_type_symbol
_atom_site_fract_x
_atom_site_fract_y
_atom_site_fract_z
Ga1 Ga 0.0000 0.0000 0.0000
Sb1 Sb 0.0000 0.0000 0.5000
F1 F 0.0000 0.0000 0.0892
```